No. 1
Computed X-ray powder pattern of BaNaPrBiO6 for CuKα, from a crystal structure in the Materials Project, relaxed with GGA-PBE.

Structural model:
```
data_BaNaPrBiO6
_chemical_formula_sum 'Ba4 Na4 Pr4 Bi4 O24'
_cell_length_a 8.8925
_cell_length_b 8.8925
_cell_length_c 8.8925
_cell_angle_alpha 90.00
_cell_angle_beta 90.00
_cell_angle_gamma 90.00
_symmetry_space_group_name_H-M 'F -4 3 m'
_symmetry_Int_Tables_number 216
_symmetry_space_group_name_Hall 'F -4 2 3'
loop_
_atom_site_label
_atom_site_type_symbol
_atom_site_fract_x
_atom_site_fract_y
_atom_site_fract_z
Ba1 Ba 0.0000 0.0000 0.0000
Na1 Na 0.0000 0.0000 0.5000
Pr1 Pr 0.2500 0.2500 0.7500
Bi1 Bi 0.2500 0.2500 0.2500
O1 O 0.0118 0.2500 0.2500
```

Principal peaks in the range 10° ≤ 2θ ≤ 90°, by angle:
- hkl 1 1 1, 2θ 17.27, rel. 16
- hkl 2 0 0, 2θ 19.97, rel. 27
- hkl 2 2 0, 2θ 28.39, rel. 100
- hkl 4 0 0, 2θ 40.58, rel. 31
- hkl 4 2 2, 2θ 50.26, rel. 42
- hkl 4 4 0, 2θ 58.74, rel. 20
- hkl 6 2 0, 2θ 66.50, rel. 19
- hkl 6 4 2, 2θ 80.90, rel. 22

No. 2
Computed X-ray powder pattern of BaNaZrBiO6 for CuKα, from a crystal structure in the Materials Project, relaxed with GGA-PBE.

Structural model:
```
data_BaNaZrBiO6
_chemical_formula_sum 'Ba4 Na4 Zr4 Bi4 O24'
_cell_length_a 8.4500
_cell_length_b 8.4500
_cell_length_c 8.4500
_cell_angle_alpha 90.00
_cell_angle_beta 90.00
_cell_angle_gamma 90.00
_symmetry_space_group_name_H-M 'F -4 3 m'
_symmetry_Int_Tables_number 216
_symmetry_space_group_name_Hall 'F -4 2 3'
loop_
_atom_site_label
_atom_site_type_symbol
_atom_site_fract_x
_atom_site_fract_y
_atom_site_fract_z
Ba1 Ba 0.0000 0.0000 0.0000
Na1 Na 0.0000 0.0000 0.5000
Zr1 Zr 0.2500 0.2500 0.2500
Bi1 Bi 0.2500 0.2500 0.7500
O1 O 0.0012 0.2500 0.2500
```

Principal peaks in the range 10° ≤ 2θ ≤ 90°, by angle:
- hkl 1 1 1, 2θ 18.18, rel. 29
- hkl 2 0 0, 2θ 21.03, rel. 21
- hkl 2 2 0, 2θ 29.91, rel. 100
- hkl 4 0 0, 2θ 42.81, rel. 32
- hkl 4 2 2, 2θ 53.10, rel. 41
- hkl 4 4 0, 2θ 62.14, rel. 20
- hkl 6 2 0, 2θ 70.48, rel. 18
- hkl 6 4 2, 2θ 86.11, rel. 22

No. 3
Computed X-ray powder pattern of Ba10Nb3Bi7O30 for CuKα, from a crystal structure in the Materials Project, relaxed with GGA-PBE.

Structural model:
```
data_Ba10Nb3Bi7O30
_chemical_formula_sum 'Ba10 Nb3 Bi7 O30'
_cell_length_a 6.2173
_cell_length_b 10.6744
_cell_length_c 13.8818
_cell_angle_alpha 75.30
_cell_angle_beta 77.07
_cell_angle_gamma 73.14
_symmetry_space_group_name_H-M 'P -1'
_symmetry_Int_Tables_number 2
loop_
_symmetry_equiv_pos_as_xyz
'x,y,z'
'-x,-y,-z'
loop_
_atom_site_label
_atom_site_type_symbol
_atom_site_fract_x
_atom_site_fract_y
_atom_site_fract_z
Ba1 Ba 0.0000 0.2488 0.2530
Ba2 Ba 0.2000 0.1504 0.9487
Ba3 Ba 0.1995 0.6488 0.4507
Ba4 Ba 0.3996 0.0517 0.6475
Ba5 Ba 0.3996 0.5492 0.1525
Nb1 Nb 0.0000 0.0000 0.5000
Nb2 Nb 0.2010 0.4013 0.7003
Bi1 Bi 0.0000 0.5000 0.0000
Bi2 Bi 0.1991 0.8963 0.2037
Bi3 Bi 0.3977 0.3008 0.4029
Bi4 Bi 0.3998 0.8011 0.8990
O1 O 0.0372 0.2521 0.7638
O2 O 0.0397 0.9525 0.3630
O3 O 0.0749 0.9367 0.8718
O4 O 0.1047 0.4704 0.3278
O5 O 0.1592 0.4463 0.8371
O6 O 0.1627 0.1491 0.4354
O7 O 0.2294 0.6424 0.9704
O8 O 0.2416 0.3521 0.5617
O9 O 0.2754 0.3351 0.0739
O10 O 0.3052 0.8709 0.5247
O11 O 0.3573 0.8478 0.0461
O12 O 0.3626 0.5489 0.6325
O13 O 0.4300 0.0412 0.1716
O14 O 0.4447 0.7493 0.7540
O15 O 0.4937 0.7264 0.2776
```

Principal peaks in the range 10° ≤ 2θ ≤ 90°, by angle:
- hkl 2 1 1, 2θ 28.72, rel. 99
- hkl 1 3 3, 2θ 28.91, rel. 100
- hkl 2 4 0, 2θ 41.22, rel. 36
- hkl 3 1 5, 2θ 50.88, rel. 23
- hkl -3 1 1, 2θ 51.00, rel. 43
- hkl 1 6 2, 2θ 51.34, rel. 21
- hkl 4 -1 3, 2θ 67.46, rel. 18
- hkl 3 7 3, 2θ 67.75, rel. 19

No. 4
Computed X-ray powder pattern of BaNb2Bi2O9 for CuKα, from a crystal structure in the Materials Project, relaxed with GGA-PBE.

Structural model:
```
data_BaNb2Bi2O9
_chemical_formula_sum 'Ba4 Nb8 Bi8 O36'
_cell_length_a 25.4706
_cell_length_b 5.7237
_cell_length_c 5.7603
_cell_angle_alpha 90.00
_cell_angle_beta 90.00
_cell_angle_gamma 90.00
_symmetry_space_group_name_H-M 'C m c 21'
_symmetry_Int_Tables_number 36
loop_
_symmetry_equiv_pos_as_xyz
'x,y,z'
'-x,-y,z+1/2'
'-x,y,z'
'x,-y,z+1/2'
'x+1/2,y+1/2,z'
'-x+1/2,-y+1/2,z+1/2'
'-x+1/2,y+1/2,z'
'x+1/2,-y+1/2,z+1/2'
loop_
_atom_site_label
_atom_site_type_symbol
_atom_site_fract_x
_atom_site_fract_y
_atom_site_fract_z
Ba1 Ba 0.0000 0.2483 0.0000
Nb1 Nb 0.0854 0.2517 0.5123
Bi1 Bi 0.2014 0.2765 0.1080
O1 O 0.0000 0.2351 0.4826
O2 O 0.0752 0.4967 0.7361
O3 O 0.0831 0.0025 0.2323
O4 O 0.1590 0.2944 0.4687
O5 O 0.2485 0.0147 0.3037
```

Principal peaks in the range 10° ≤ 2θ ≤ 90°, by angle:
- hkl 3 1 1, 2θ 24.30, rel. 17
- hkl 5 1 1, 2θ 28.10, rel. 100
- hkl 0 0 2, 2θ 31.05, rel. 13
- hkl 0 2 0, 2θ 31.25, rel. 19
- hkl 10 0 0, 2θ 35.24, rel. 13
- hkl 0 2 2, 2θ 44.64, rel. 14
- hkl 10 2 0, 2θ 47.81, rel. 11
- hkl 5 3 1, 2θ 53.70, rel. 17

No. 5
Computed X-ray powder pattern of Ba2NbBiO6 for CuKα, from a crystal structure in the Materials Project, relaxed with GGA-PBE.

Structural model:
```
data_Ba2NbBiO6
_chemical_formula_sum 'Ba6 Nb3 Bi3 O18'
_cell_length_a 6.1672
_cell_length_b 6.1672
_cell_length_c 14.9808
_cell_angle_alpha 90.00
_cell_angle_beta 90.00
_cell_angle_gamma 120.00
_symmetry_space_group_name_H-M 'R -3'
_symmetry_Int_Tables_number 148
_symmetry_space_group_name_Hall '-R 3'
loop_
_atom_site_label
_atom_site_type_symbol
_atom_site_fract_x
_atom_site_fract_y
_atom_site_fract_z
Ba1 Ba 0.0000 0.0000 0.2488
Nb1 Nb 0.0000 0.0000 0.0000
Bi1 Bi 0.0000 0.0000 0.5000
O1 O 0.0279 0.5646 0.7448
```

Principal peaks in the range 10° ≤ 2θ ≤ 90°, by angle:
- hkl 1 1 0, 2θ 28.96, rel. 99
- hkl 1 0 4, 2θ 29.12, rel. 100
- hkl 0 2 4, 2θ 41.53, rel. 55
- hkl 3 0 0, 2θ 51.32, rel. 22
- hkl 2 1 4, 2θ 51.42, rel. 42
- hkl 0 1 8, 2θ 51.73, rel. 20
- hkl 3 -2 8, 2θ 68.32, rel. 19
- hkl 5 -2 4, 2θ 82.86, rel. 24

No. 6
Computed X-ray powder pattern of BaNb4Bi4PbO18 for CuKα, from a crystal structure in the Materials Project, relaxed with GGA-PBE.

Structural model:
```
data_BaNb4Bi4PbO18
_chemical_formula_sum 'Ba2 Nb8 Bi8 Pb2 O36'
_cell_length_a 5.6677
_cell_length_b 25.0090
_cell_length_c 5.6815
_cell_angle_alpha 90.00
_cell_angle_beta 90.00
_cell_angle_gamma 90.00
_symmetry_space_group_name_H-M 'A m m 2'
_symmetry_Int_Tables_number 38
loop_
_symmetry_equiv_pos_as_xyz
'x,y,z'
'-x,-y,z'
'-x,y,z'
'x,-y,z'
'x,y+1/2,z+1/2'
'-x,-y+1/2,z+1/2'
'-x,y+1/2,z+1/2'
'x,-y+1/2,z+1/2'
loop_
_atom_site_label
_atom_site_type_symbol
_atom_site_fract_x
_atom_site_fract_y
_atom_site_fract_z
Ba1 Ba 0.0000 0.0000 0.0000
Nb1 Nb 0.0000 0.0872 0.5044
Nb2 Nb 0.5000 0.0877 0.0037
Bi1 Bi 0.0000 0.2022 0.9533
Bi2 Bi 0.5000 0.2009 0.5399
Pb1 Pb 0.5000 0.0000 0.5304
O1 O 0.0000 0.0000 0.4689
O2 O 0.0000 0.1622 0.5576
O3 O 0.2454 0.0871 0.2305
O4 O 0.2495 0.2469 0.2418
O5 O 0.2550 0.0746 0.7299
O6 O 0.5000 0.0000 0.9938
O7 O 0.5000 0.1616 0.9226
```

Principal peaks in the range 10° ≤ 2θ ≤ 90°, by angle:
- hkl 1 5 1, 2θ 28.52, rel. 100
- hkl 2 0 0, 2θ 31.54, rel. 35
- hkl 0 10 0, 2θ 35.91, rel. 13
- hkl 2 0 2, 2θ 45.19, rel. 19
- hkl 2 10 0, 2θ 48.53, rel. 22
- hkl 1 5 3, 2θ 54.26, rel. 12
- hkl 3 5 1, 2θ 54.36, rel. 18
- hkl 2 10 2, 2θ 59.03, rel. 11

No. 7
Computed X-ray powder pattern of BaSrNbBiO6 for CuKα, from a crystal structure in the Materials Project, relaxed with GGA-PBE.

Structural model:
```
data_BaSrNbBiO6
_chemical_formula_sum 'Ba4 Sr4 Nb4 Bi4 O24'
_cell_length_a 8.6591
_cell_length_b 8.6591
_cell_length_c 8.6591
_cell_angle_alpha 90.00
_cell_angle_beta 90.00
_cell_angle_gamma 90.00
_symmetry_space_group_name_H-M 'F -4 3 m'
_symmetry_Int_Tables_number 216
_symmetry_space_group_name_Hall 'F -4 2 3'
loop_
_atom_site_label
_atom_site_type_symbol
_atom_site_fract_x
_atom_site_fract_y
_atom_site_fract_z
Ba1 Ba 0.0000 0.0000 0.0000
Sr1 Sr 0.0000 0.0000 0.5000
Nb1 Nb 0.2500 0.2500 0.2500
Bi1 Bi 0.2500 0.2500 0.7500
O1 O 0.0176 0.2500 0.2500
```

Principal peaks in the range 10° ≤ 2θ ≤ 90°, by angle:
- hkl 1 1 1, 2θ 17.74, rel. 10
- hkl 2 2 0, 2θ 29.17, rel. 100
- hkl 3 1 1, 2θ 34.35, rel. 8
- hkl 4 0 0, 2θ 41.72, rel. 30
- hkl 4 2 2, 2θ 51.72, rel. 41
- hkl 4 4 0, 2θ 60.48, rel. 19
- hkl 6 2 0, 2θ 68.54, rel. 19
- hkl 6 4 2, 2θ 83.56, rel. 22

No. 8
Computed X-ray powder pattern of BaSrNbBiO6 for CuKα, from a crystal structure in the Materials Project, relaxed with GGA-PBE.

Structural model:
```
data_BaSrNbBiO6
_chemical_formula_sum 'Ba4 Sr4 Nb4 Bi4 O24'
_cell_length_a 8.6006
_cell_length_b 8.6091
_cell_length_c 8.6099
_cell_angle_alpha 90.00
_cell_angle_beta 90.00
_cell_angle_gamma 90.00
_symmetry_space_group_name_H-M 'P 2 2 2'
_symmetry_Int_Tables_number 16
loop_
_symmetry_equiv_pos_as_xyz
'x,y,z'
'-x,-y,z'
'x,-y,-z'
'-x,y,-z'
loop_
_atom_site_label
_atom_site_type_symbol
_atom_site_fract_x
_atom_site_fract_y
_atom_site_fract_z
Ba1 Ba 0.0000 0.0000 0.0000
Ba2 Ba 0.0000 0.0000 0.5000
Ba3 Ba 0.5000 0.0000 0.0000
Ba4 Ba 0.5000 0.5000 0.5000
Sr1 Sr 0.0000 0.5000 0.0000
Sr2 Sr 0.0000 0.5000 0.5000
Sr3 Sr 0.5000 0.0000 0.5000
Sr4 Sr 0.5000 0.5000 0.0000
Nb1 Nb 0.2512 0.2531 0.7493
Bi1 Bi 0.2490 0.2560 0.2496
O1 O 0.0159 0.2247 0.7218
O2 O 0.2118 0.2896 0.9823
O3 O 0.2132 0.4841 0.7035
O4 O 0.2736 0.0232 0.7813
O5 O 0.2945 0.2169 0.5209
O6 O 0.4768 0.2957 0.7901
```

Principal peaks in the range 10° ≤ 2θ ≤ 90°, by angle:
- hkl 1 1 1, 2θ 17.85, rel. 8
- hkl 2 0 2, 2θ 29.35, rel. 100
- hkl 1 1 3, 2θ 34.56, rel. 8
- hkl 4 0 0, 2θ 41.99, rel. 27
- hkl 4 2 2, 2θ 52.06, rel. 44
- hkl 4 0 4, 2θ 60.89, rel. 17
- hkl 6 0 2, 2θ 69.02, rel. 19
- hkl 6 4 2, 2θ 84.18, rel. 23